The following is a calculated PXRD pattern of CsCaSe3O12. It was derived from a crystal structure in the Materials Project, relaxed with GGA-PBE, using Cu Kα.
Peak positions follow from Bragg's law for the DFT cell and can differ from measured ones.

Main lines, in order of rising 2θ (2θ = 15–90°):
two_theta  intensity  index
20.8  90  1 1 1
22.4  37  2 0 -2
25.8  54  2 1 0
26.8  41  2 1 -2
27.1  100  1 1 -3
28.3  46  1 0 3
29.5  52  0 2 0
41.3  31  1 2 3

```
data_CsCaSe3O12
_chemical_formula_sum 'Cs2 Ca2 Se6 O24'
_space_group_name_H-M_alt 'P 1 21/m 1'
_space_group_IT_number 11
_space_group_name_Hall '-P 2yb'
_cell_length_a 8.756
_cell_length_b 6.064
_cell_length_c 11.961
_cell_angle_alpha 90.00
_cell_angle_beta 106.65
_cell_angle_gamma 90.00
loop_
_atom_site_label
_atom_site_type_symbol
_atom_site_fract_x
_atom_site_fract_y
_atom_site_fract_z
Cs1 Cs 0.134 0.250 0.273
Ca1 Ca 0.385 0.750 0.852
Se1 Se 0.190 0.250 0.942
Se2 Se 0.220 0.750 0.531
Se3 Se 0.425 0.750 0.199
O1 O 0.016 0.250 0.981
O2 O 0.052 0.750 0.419
O3 O 0.185 0.750 0.660
O4 O 0.199 0.023 0.867
O5 O 0.232 0.750 0.197
O6 O 0.318 0.521 0.510
O7 O 0.324 0.250 0.074
O8 O 0.453 0.750 0.066
O9 O 0.489 0.019 0.733
```